This entry pairs a crystal structure of Ca4CoRh with its simulated X-ray powder pattern. Radiation: copper Kα. Structure: DFT lattice parameters and positions (GGA-PBE).
Intensities are scaled so that the largest is 100.

Most intense lines, 2θ = 10–90°, in order of rising 2θ:
| 2θ/deg | I (rel.) | (hkl) |
| --- | --- | --- |
| 29.33 | 52.0 | 2 2 0 |
| 34.53 | 100.0 | 3 1 1 |
| 36.12 | 21.0 | 2 2 2 |
| 52.01 | 20.0 | 4 2 2 |
| 55.42 | 31.6 | 3 3 3 |
| 60.83 | 23.3 | 4 4 0 |

Structure:
Cell lengths 8.6143, 8.6143, 8.6143 Å; angles 90.00, 90.00, 90.00 degrees
Space group F-43m (No. 216)
Unique sites:
1 Ca 0.1253 0.1253 0.1253
2 Co 0.2500 0.2500 0.7500
3 Rh 0.0000 0.0000 0.5000